Structure and calculated PXRD pattern of CsHo2Cu3Te4S (the PBE geometry in OQMD; Cu Kα).

Crystal structure
```
CsHo2Cu3Te4S
1.0
2.1435 -7.8174 0.0000
2.1435 7.8174 0.0000
0.0000 0.0000 17.8774
Cs Ho Cu Te S
2 4 6 8 2
direct
0.0731 0.9269 0.7500
0.9269 0.0731 0.2500
0.1954 0.8046 0.1019
0.1954 0.8046 0.3981
0.8046 0.1954 0.6019
0.8046 0.1954 0.8981
0.3331 0.6669 0.7500
0.4182 0.5818 0.0239
0.4182 0.5818 0.4761
0.5818 0.4182 0.5239
0.5818 0.4182 0.9761
0.6669 0.3331 0.2500
0.1659 0.8341 0.5684
0.1659 0.8341 0.9316
0.4422 0.5578 0.6210
0.4422 0.5578 0.8790
0.5578 0.4422 0.1210
0.5578 0.4422 0.3790
0.8341 0.1659 0.0684
0.8341 0.1659 0.4316
0.2309 0.7691 0.2500
0.7691 0.2309 0.7500
```

Most intense lines, 10 to 90 degrees two-theta, in order of rising 2θ:
26.93 deg, intensity 70
27.41 deg, intensity 100
33.69 deg, intensity 53
37.00 deg, intensity 47
42.16 deg, intensity 46
44.82 deg, intensity 42